The following is a computed powder diffractogram of Sm4Tl2Te. It was derived from a crystal structure in Alexandria, relaxed with GGA-PBE, using Cu Kα (weighted mean of Kα1 and Kα2).

The 12 most intense peaks (2θ from 10° to 90°), in order of rising 2θ:
d_spacing  2theta  I_rel
3.871  22.97  7
2.999  29.79  100
2.534  35.42  65
2.121  42.63  16
2.022  44.83  12
1.936  46.94  14
1.860  48.98  21
1.538  60.15  28
1.499  61.88  11
1.463  63.58  14
1.291  73.35  15
1.102  88.74  10

Structure:
```
Sm4Tl2Te
1.0
-4.744 4.744 4.738
4.744 -4.744 4.738
4.744 4.744 -4.738
Sm Tl Te
8 4 2
Direct
0.121 0.013 0.746 Sm
0.125 0.517 0.754 Sm
0.267 0.375 0.254 Sm
0.483 0.237 0.608 Sm
0.625 0.879 0.892 Sm
0.629 0.875 0.392 Sm
0.763 0.371 0.246 Sm
0.987 0.733 0.108 Sm
0.002 0.125 0.377 Tl
0.375 0.998 0.123 Tl
0.748 0.625 0.623 Tl
0.875 0.252 0.877 Tl
0.250 0.750 0.500 Te
0.500 0.500 0.000 Te
```

***

The following is a computed powder diffractogram of Sm2TmTl3Te6. It was derived from a crystal structure in Alexandria, relaxed with GGA-PBE, using Cu Kα (weighted mean of Kα1 and Kα2).

The 12 most intense peaks (2θ from 10° to 90°), in order of rising 2θ:
d_spacing  2theta  I_rel
3.705  24.02  4
3.284  27.16  100
2.408  37.34  39
2.244  40.19  36
2.046  44.27  7
1.853  49.18  20
1.642  56.01  12
1.512  61.32  15
1.428  65.33  22
1.325  71.16  12
1.295  73.04  6
1.095  89.56  6

Structure:
```
Sm2TmTl3Te6
1.0
3.887 -6.731 0.000
3.887 6.731 0.000
-2.592 0.000 8.184
Sm Tm Tl Te
2 1 3 6
Direct
0.166 0.834 0.000 Sm
0.834 0.166 0.000 Sm
0.500 0.500 0.000 Tm
0.000 0.000 0.500 Tl
0.331 0.669 0.500 Tl
0.669 0.331 0.500 Tl
0.103 0.429 0.785 Te
0.247 0.247 0.217 Te
0.429 0.103 0.785 Te
0.571 0.897 0.215 Te
0.753 0.753 0.783 Te
0.897 0.571 0.215 Te
```

***

The following is a computed powder diffractogram of Sm2Tm4Te9. It was derived from a crystal structure in Alexandria, relaxed with GGA-PBE, using Cu Kα (weighted mean of Kα1 and Kα2).

The 12 most intense peaks (2θ from 10° to 90°), in order of rising 2θ:
d_spacing  2theta  I_rel
5.626  15.75  35
4.126  21.54  28
3.371  26.44  87
2.813  31.81  20
2.590  34.63  100
2.270  39.70  17
2.220  40.64  62
1.997  45.43  20
1.854  49.14  14
1.685  54.44  26
1.375  68.18  21
1.342  70.10  24

Structure:
```
Sm2Tm4Te9
1.0
7.689 0.000 0.000
-3.845 6.659 0.000
0.000 0.000 21.028
Sm Tm Te
4 8 18
Direct
0.000 0.000 0.155 Sm
0.000 0.000 0.345 Sm
0.000 0.000 0.655 Sm
0.000 0.000 0.845 Sm
0.333 0.667 0.009 Tm
0.333 0.667 0.324 Tm
0.333 0.667 0.509 Tm
0.333 0.667 0.824 Tm
0.667 0.333 0.176 Tm
0.667 0.333 0.491 Tm
0.667 0.333 0.676 Tm
0.667 0.333 0.991 Tm
0.000 0.321 0.250 Te
0.000 0.679 0.750 Te
0.018 0.362 0.917 Te
0.018 0.656 0.417 Te
0.321 0.000 0.250 Te
0.321 0.321 0.750 Te
0.344 0.362 0.417 Te
0.344 0.982 0.917 Te
0.362 0.018 0.583 Te
0.362 0.344 0.083 Te
0.638 0.656 0.917 Te
0.638 0.982 0.417 Te
0.656 0.018 0.083 Te
0.656 0.638 0.583 Te
0.679 0.000 0.750 Te
0.679 0.679 0.250 Te
0.982 0.344 0.583 Te
0.982 0.638 0.083 Te
```

***

The following is a computed powder diffractogram of Sm2Tm3Te6. It was derived from a crystal structure in Alexandria, relaxed with GGA-PBE, using Cu Kα (weighted mean of Kα1 and Kα2).

The 12 most intense peaks (2θ from 10° to 90°), in order of rising 2θ:
d_spacing  2theta  I_rel
3.077  29.02  51
3.065  29.14  100
2.171  41.59  95
2.162  41.78  19
1.774  51.51  20
1.769  51.67  20
1.532  60.41  12
1.375  68.20  17
1.373  68.34  17
1.371  68.43  8
1.254  75.86  16
1.250  76.15  12

Structure:
```
Sm2Tm3Te6
1.0
3.769 -6.487 0.000
3.769 6.487 0.000
-2.522 0.000 7.092
Sm Tm Te
2 3 6
Direct
0.164 0.836 0.000 Sm
0.836 0.164 0.000 Sm
0.000 0.000 0.500 Tm
0.329 0.671 0.500 Tm
0.671 0.329 0.500 Tm
0.096 0.417 0.748 Te
0.264 0.264 0.256 Te
0.417 0.096 0.748 Te
0.583 0.904 0.252 Te
0.736 0.736 0.744 Te
0.904 0.583 0.252 Te
```

***

The following is a computed powder diffractogram of SmTm6Te8. It was derived from a crystal structure in Alexandria, relaxed with GGA-PBE, using Cu Kα (weighted mean of Kα1 and Kα2).

The 12 most intense peaks (2θ from 10° to 90°), in order of rising 2θ:
d_spacing  2theta  I_rel
6.071  14.59  4
4.293  20.69  3
3.661  24.31  4
3.035  29.43  100
2.785  32.13  4
2.715  32.99  2
2.146  42.10  75
1.752  52.20  26
1.581  58.38  2
1.518  61.06  12
1.357  69.21  33
1.239  76.94  25

Structure:
```
SmTm6Te8
1.0
0.000 6.071 6.071
6.071 0.000 6.071
6.071 6.071 0.000
Sm Tm Te
1 6 8
Direct
0.000 0.000 0.000 Sm
0.000 0.000 0.500 Tm
0.000 0.500 0.000 Tm
0.000 0.500 0.500 Tm
0.500 0.000 0.000 Tm
0.500 0.000 0.500 Tm
0.500 0.500 0.000 Tm
0.250 0.250 0.250 Te
0.261 0.261 0.739 Te
0.261 0.739 0.261 Te
0.261 0.739 0.739 Te
0.739 0.261 0.261 Te
0.739 0.261 0.739 Te
0.739 0.739 0.261 Te
0.750 0.750 0.750 Te
```

***

The following is a computed powder diffractogram of SmTmTe. It was derived from a crystal structure in Alexandria, relaxed with GGA-PBE, using Cu Kα (weighted mean of Kα1 and Kα2).

The 12 most intense peaks (2θ from 10° to 90°), in order of rising 2θ:
d_spacing  2theta  I_rel
3.683  24.17  2
2.744  32.64  100
1.995  45.46  3
1.941  46.79  13
1.937  46.90  5
1.584  58.24  36
1.527  60.66  2
1.372  68.38  11
1.228  77.79  11
1.225  77.97  4
1.200  79.94  2
1.120  86.99  4

Structure:
```
SmTmTe
1.0
3.883 0.000 0.000
0.000 3.883 0.000
0.000 0.000 11.623
Sm Tm Te
2 2 2
Direct
0.000 0.000 0.000 Sm
0.500 0.500 0.500 Sm
0.000 0.000 0.312 Tm
0.500 0.500 0.812 Tm
0.000 0.000 0.668 Te
0.500 0.500 0.168 Te
```

***

The following is a computed powder diffractogram of Sm2Tm2Te5. It was derived from a crystal structure in Alexandria, relaxed with GGA-PBE, using Cu Kα (weighted mean of Kα1 and Kα2).

The 12 most intense peaks (2θ from 10° to 90°), in order of rising 2θ:
d_spacing  2theta  I_rel
5.817  15.23  13
3.883  22.90  27
3.096  28.84  42
2.930  30.51  77
2.744  32.63  100
2.709  33.07  43
2.384  37.74  30
2.128  42.48  30
2.084  43.43  33
1.849  49.28  28
1.654  55.56  28
1.469  63.30  13

Structure:
```
Sm2Tm2Te5
1.0
8.272 -2.930 0.000
8.272 2.930 0.000
-2.132 0.000 5.817
Sm Tm Te
2 2 5
Direct
0.100 0.100 0.319 Sm
0.900 0.900 0.681 Sm
0.327 0.327 0.029 Tm
0.673 0.673 0.971 Tm
0.126 0.126 0.847 Te
0.310 0.310 0.512 Te
0.500 0.500 0.000 Te
0.690 0.690 0.488 Te
0.874 0.874 0.153 Te
```

***

The following is a computed powder diffractogram of Sm2UTe6. It was derived from a crystal structure in Alexandria, relaxed with GGA-PBE, using Cu Kα (weighted mean of Kα1 and Kα2).

The 12 most intense peaks (2θ from 10° to 90°), in order of rising 2θ:
d_spacing  2theta  I_rel
5.175  17.13  95
3.803  23.39  25
3.374  26.41  89
3.273  27.25  29
2.637  34.00  100
2.588  34.67  51
2.225  40.54  24
2.139  42.25  67
2.053  44.10  19
2.044  44.31  17
1.687  54.38  27
1.300  72.76  28

Structure:
```
Sm2UTe6
1.0
7.319 0.000 0.000
0.000 7.319 0.000
0.000 0.000 13.352
Sm U Te
4 2 12
Direct
0.000 0.000 0.166 Sm
0.000 0.000 0.834 Sm
0.500 0.500 0.334 Sm
0.500 0.500 0.666 Sm
0.000 0.000 0.500 U
0.500 0.500 0.000 U
0.197 0.197 0.343 Te
0.197 0.197 0.657 Te
0.213 0.213 0.000 Te
0.287 0.713 0.500 Te
0.303 0.697 0.157 Te
0.303 0.697 0.843 Te
0.697 0.303 0.157 Te
0.697 0.303 0.843 Te
0.713 0.287 0.500 Te
0.787 0.787 0.000 Te
0.803 0.803 0.343 Te
0.803 0.803 0.657 Te
```

***

The following is a computed powder diffractogram of Sm2UTe5. It was derived from a crystal structure in Alexandria, relaxed with GGA-PBE, using Cu Kα (weighted mean of Kα1 and Kα2).

The 12 most intense peaks (2θ from 10° to 90°), in order of rising 2θ:
d_spacing  2theta  I_rel
3.923  22.67  37
3.118  28.63  25
3.090  28.89  57
2.966  30.13  29
2.919  30.63  71
2.538  35.37  100
2.454  36.61  75
2.185  41.32  67
1.759  51.98  25
1.648  55.77  25
1.632  56.38  43
1.320  71.48  26

Structure:
```
Sm2UTe5
1.0
4.367 0.000 0.000
0.000 4.373 0.000
0.000 0.000 26.696
Sm U Te
4 2 10
Direct
0.000 0.000 0.000 Sm
0.000 0.000 0.329 Sm
0.000 0.000 0.659 Sm
0.500 0.500 0.502 Sm
0.500 0.500 0.174 U
0.500 0.500 0.843 U
0.000 0.000 0.205 Te
0.000 0.000 0.536 Te
0.000 0.000 0.877 Te
0.000 0.500 0.087 Te
0.000 0.500 0.415 Te
0.000 0.500 0.753 Te
0.500 0.000 0.753 Te
0.500 0.500 0.295 Te
0.500 0.500 0.625 Te
0.500 0.500 0.965 Te
```

***

The following is a computed powder diffractogram of Sm2U2Te7. It was derived from a crystal structure in Alexandria, relaxed with GGA-PBE, using Cu Kα (weighted mean of Kα1 and Kα2).

The 12 most intense peaks (2θ from 10° to 90°), in order of rising 2θ:
d_spacing  2theta  I_rel
4.173  21.29  25
3.939  22.57  16
3.165  28.19  31
2.816  31.77  100
2.782  32.17  20
2.767  32.36  31
2.470  36.37  51
2.353  38.25  29
2.152  41.97  30
1.626  56.60  21
1.588  58.08  18
1.369  68.55  17

Structure:
```
Sm2U2Te7
1.0
-2.152 8.058 4.879
2.152 -8.058 4.879
2.152 8.058 -4.879
Sm U Te
2 2 7
Direct
0.240 0.000 0.240 Sm
0.760 0.000 0.760 Sm
0.321 0.821 0.500 U
0.770 0.770 0.000 U
0.026 0.704 0.322 Te
0.084 0.084 0.000 Te
0.383 0.704 0.678 Te
0.385 0.492 0.893 Te
0.599 0.492 0.107 Te
0.675 0.311 0.364 Te
0.947 0.311 0.636 Te
```

***

The following is a computed powder diffractogram of SmUTe6. It was derived from a crystal structure in Alexandria, relaxed with GGA-PBE, using Cu Kα (weighted mean of Kα1 and Kα2).

The 12 most intense peaks (2θ from 10° to 90°), in order of rising 2θ:
d_spacing  2theta  I_rel
6.666  13.28  26
3.333  26.75  35
3.085  28.94  26
2.932  30.49  100
2.684  33.39  47
2.668  33.58  23
2.445  36.75  17
2.407  37.36  46
2.228  40.49  30
2.166  41.70  28
1.646  55.86  16
1.553  59.55  25

Structure:
```
SmUTe6
1.0
4.455 0.000 0.000
0.000 4.332 0.000
0.000 0.000 26.664
Sm U Te
2 2 12
Direct
0.000 0.000 0.000 Sm
0.000 0.500 0.500 Sm
0.500 0.000 0.658 U
0.500 0.500 0.158 U
0.000 0.000 0.124 Te
0.000 0.000 0.406 Te
0.000 0.000 0.745 Te
0.000 0.500 0.245 Te
0.000 0.500 0.624 Te
0.000 0.500 0.906 Te
0.500 0.000 0.246 Te
0.500 0.000 0.537 Te
0.500 0.000 0.907 Te
0.500 0.500 0.037 Te
0.500 0.500 0.407 Te
0.500 0.500 0.746 Te
```

***

The following is a computed powder diffractogram of Sm5Y3Te8. It was derived from a crystal structure in Alexandria, relaxed with GGA-PBE, using Cu Kα (weighted mean of Kα1 and Kα2).

The 12 most intense peaks (2θ from 10° to 90°), in order of rising 2θ:
d_spacing  2theta  I_rel
3.123  28.59  100
2.215  40.73  38
2.201  41.01  38
1.815  50.27  7
1.799  50.75  20
1.561  59.18  13
1.400  66.81  17
1.393  67.22  17
1.282  73.94  6
1.273  74.52  13
1.271  74.71  6
1.108  88.21  4

Structure:
```
Sm5Y3Te8
1.0
4.401 2.541 7.260
-4.401 2.541 7.260
0.000 -5.082 7.260
Sm Y Te
5 3 8
Direct
0.000 0.000 0.000 Sm
0.000 0.500 0.500 Sm
0.500 0.000 0.500 Sm
0.500 0.500 0.000 Sm
0.500 0.500 0.500 Sm
0.000 0.000 0.500 Y
0.000 0.500 0.000 Y
0.500 0.000 0.000 Y
0.245 0.750 0.750 Te
0.248 0.248 0.248 Te
0.250 0.250 0.755 Te
0.250 0.755 0.250 Te
0.750 0.245 0.750 Te
0.750 0.750 0.245 Te
0.752 0.752 0.752 Te
0.755 0.250 0.250 Te
```

***

The following is a computed powder diffractogram of SmY4Te5. It was derived from a crystal structure in Alexandria, relaxed with GGA-PBE, using Cu Kα (weighted mean of Kα1 and Kα2).

The 12 most intense peaks (2θ from 10° to 90°), in order of rising 2θ:
d_spacing  2theta  I_rel
3.144  28.38  48
3.078  29.01  100
2.725  32.87  8
2.199  41.04  70
2.176  41.49  37
1.790  51.04  37
1.539  60.13  12
1.400  66.82  12
1.382  67.80  15
1.376  68.12  17
1.274  74.45  8
1.261  75.38  27

Structure:
```
SmY4Te5
1.0
-2.176 2.176 15.722
2.176 -2.176 15.722
2.176 2.176 -15.722
Sm Y Te
1 4 5
Direct
0.000 0.000 0.000 Sm
0.208 0.208 0.000 Y
0.405 0.405 0.000 Y
0.595 0.595 0.000 Y
0.792 0.792 0.000 Y
0.104 0.104 0.000 Te
0.306 0.306 0.000 Te
0.500 0.500 0.000 Te
0.694 0.694 0.000 Te
0.896 0.896 0.000 Te
```